Entry 1:
For Ga5Fe10Cu, the GGA-PBE geometry in Alexandria gives the computed X-ray diffraction stick pattern in this record (CuKα).
Kinematic intensities with the Lorentz-polarization factor, no thermal factor.

Cell and atoms:
```
data_Ga5Fe10Cu
_chemical_formula_sum 'Ga10 Fe20 Cu2'
_cell_length_a 9.3370
_cell_length_b 9.3370
_cell_length_c 4.6136
_cell_angle_alpha 90.00
_cell_angle_beta 90.00
_cell_angle_gamma 90.00
_symmetry_space_group_name_H-M 'I 4 2 2'
_symmetry_Int_Tables_number 97
_symmetry_space_group_name_Hall 'I 4 2'
loop_
_atom_site_label
_atom_site_type_symbol
_atom_site_fract_x
_atom_site_fract_y
_atom_site_fract_z
Ga1 Ga 0.0000 0.0000 0.0000
Ga2 Ga 0.1709 0.3291 0.2500
Fe1 Fe 0.0000 0.5000 0.0000
Fe2 Fe 0.0712 0.2356 0.7486
Cu1 Cu 0.0000 0.0000 0.5000
```

Peak list (6 most intense, 2θ from 10° to 90°, by intensity)
Position (°2θ), I_rel, (hkl)
44.57, 100, 4 1 1
43.34, 57, 4 2 0
43.77, 54, 2 0 2
48.12, 33, 2 2 2
39.92, 22, 3 2 1
56.72, 20, 5 2 1

---

Entry 2:
For GaFeCu, the GGA-PBE geometry in Alexandria gives the computed X-ray diffraction stick pattern in this record (CuKα).
Kinematic intensities with the Lorentz-polarization factor, no thermal factor.

Cell and atoms:
```
data_GaFeCu
_chemical_formula_sum 'Ga2 Fe2 Cu2'
_cell_length_a 2.6141
_cell_length_b 4.2642
_cell_length_c 7.1748
_cell_angle_alpha 90.00
_cell_angle_beta 90.00
_cell_angle_gamma 90.00
_symmetry_space_group_name_H-M 'P m m n'
_symmetry_Int_Tables_number 59
loop_
_symmetry_equiv_pos_as_xyz
'x,y,z'
'-x,-y,-z'
'-x+1/2,-y+1/2,z'
'x+1/2,y+1/2,-z'
'x+1/2,-y,-z'
'-x+1/2,y,z'
'-x,y+1/2,-z'
'x,-y+1/2,z'
loop_
_atom_site_label
_atom_site_type_symbol
_atom_site_fract_x
_atom_site_fract_y
_atom_site_fract_z
Ga1 Ga 0.2500 0.2500 0.2488
Fe1 Fe 0.2500 0.7500 0.0581
Cu1 Cu 0.2500 0.7500 0.4368
```

Peak list (6 most intense, 2θ from 10° to 90°, by intensity)
Position (°2θ), I_rel, (hkl)
48.06, 100, 1 1 2
43.38, 90, 0 1 3
36.59, 60, 1 0 1
42.40, 55, 0 2 0
57.22, 31, 1 2 1
88.22, 21, 2 1 3

---

Entry 3:
For GaFeCuNi2, the GGA-PBE geometry in Alexandria gives the computed X-ray diffraction stick pattern in this record (CuKα).
Kinematic intensities with the Lorentz-polarization factor, no thermal factor.

Cell and atoms:
```
data_GaFeCuNi2
_chemical_formula_sum 'Ga1 Fe1 Cu1 Ni2'
_cell_length_a 4.3124
_cell_length_b 4.3124
_cell_length_c 4.4608
_cell_angle_alpha 90.00
_cell_angle_beta 90.00
_cell_angle_gamma 90.00
_symmetry_space_group_name_H-M 'P 4/m m m'
_symmetry_Int_Tables_number 123
_symmetry_space_group_name_Hall '-P 4 2'
loop_
_atom_site_label
_atom_site_type_symbol
_atom_site_fract_x
_atom_site_fract_y
_atom_site_fract_z
Ga1 Ga 0.0000 0.0000 0.0000
Fe1 Fe 0.0000 0.0000 0.5000
Cu1 Cu 0.5000 0.5000 0.0000
Ni1 Ni 0.0000 0.5000 0.5000
```

Peak list (6 most intense, 2θ from 10° to 90°, by intensity)
Position (°2θ), I_rel, (hkl)
35.67, 100, 1 1 1
41.90, 76, 2 0 0
59.64, 50, 2 0 2
40.44, 42, 0 0 2
75.54, 23, 2 2 2
60.75, 23, 2 2 0

---

Entry 4:
For GaFeCuW2, the GGA-PBE geometry in Alexandria gives the computed X-ray diffraction stick pattern in this record (CuKα).
Kinematic intensities with the Lorentz-polarization factor, no thermal factor.

Cell and atoms:
```
data_GaFeCuW2
_chemical_formula_sum 'Ga1 Fe1 Cu1 W2'
_cell_length_a 4.4313
_cell_length_b 4.4313
_cell_length_c 4.4636
_cell_angle_alpha 90.00
_cell_angle_beta 90.00
_cell_angle_gamma 90.00
_symmetry_space_group_name_H-M 'P 4/m m m'
_symmetry_Int_Tables_number 123
_symmetry_space_group_name_Hall '-P 4 2'
loop_
_atom_site_label
_atom_site_type_symbol
_atom_site_fract_x
_atom_site_fract_y
_atom_site_fract_z
Ga1 Ga 0.0000 0.0000 0.0000
Fe1 Fe 0.5000 0.5000 0.5000
Cu1 Cu 0.5000 0.5000 0.0000
W1 W 0.0000 0.5000 0.5000
```

Peak list (6 most intense, 2θ from 10° to 90°, by intensity)
Position (°2θ), I_rel, (hkl)
34.99, 100, 1 1 1
40.72, 53, 2 0 0
19.89, 40, 0 0 1
58.72, 35, 2 0 2
40.42, 27, 0 0 2
70.43, 26, 3 1 1

---

Entry 5:
For FeCuGe4, the GGA-PBE geometry in Alexandria gives the computed X-ray diffraction stick pattern in this record (CuKα).
Kinematic intensities with the Lorentz-polarization factor, no thermal factor.

Cell and atoms:
```
data_FeCuGe4
_chemical_formula_sum 'Fe4 Cu4 Ge16'
_cell_length_a 5.9696
_cell_length_b 5.9696
_cell_length_c 10.1985
_cell_angle_alpha 90.00
_cell_angle_beta 90.00
_cell_angle_gamma 90.00
_symmetry_space_group_name_H-M 'I 4/m c m'
_symmetry_Int_Tables_number 140
_symmetry_space_group_name_Hall '-I 4 2c'
loop_
_atom_site_label
_atom_site_type_symbol
_atom_site_fract_x
_atom_site_fract_y
_atom_site_fract_z
Fe1 Fe 0.0000 0.0000 0.2500
Cu1 Cu 0.0000 0.0000 0.0000
Ge1 Ge 0.1548 0.3452 0.1393
```

Peak list (6 most intense, 2θ from 10° to 90°, by intensity)
Position (°2θ), I_rel, (hkl)
34.74, 100, 2 1 1
43.08, 99, 2 1 3
48.21, 74, 3 1 0
41.37, 64, 1 1 4
46.86, 50, 2 0 4
77.48, 31, 3 3 4

---

Entry 6:
For PaFeCuGe2, the GGA-PBE geometry in Alexandria gives the computed X-ray diffraction stick pattern in this record (CuKα).
Kinematic intensities with the Lorentz-polarization factor, no thermal factor.

Cell and atoms:
```
data_PaFeCuGe2
_chemical_formula_sum 'Pa4 Fe4 Cu4 Ge8'
_cell_length_a 5.3255
_cell_length_b 12.0383
_cell_length_c 5.5179
_cell_angle_alpha 90.00
_cell_angle_beta 90.00
_cell_angle_gamma 90.00
_symmetry_space_group_name_H-M 'C m m e'
_symmetry_Int_Tables_number 67
_symmetry_space_group_name_Hall '-C 2a 2'
loop_
_atom_site_label
_atom_site_type_symbol
_atom_site_fract_x
_atom_site_fract_y
_atom_site_fract_z
Pa1 Pa 0.0000 0.2500 0.2209
Fe1 Fe 0.2500 0.0000 0.5000
Cu1 Cu 0.0000 0.0000 0.0000
Ge1 Ge 0.0000 0.1406 0.7116
```

Peak list (6 most intense, 2θ from 10° to 90°, by intensity)
Position (°2θ), I_rel, (hkl)
32.30, 100, 1 3 1
44.44, 65, 1 5 1
35.80, 60, 0 2 2
33.66, 40, 2 0 0
14.72, 28, 0 2 0
24.38, 27, 1 1 1

---

Entry 7:
For Zn4FeCu10Ge5S20, the GGA-PBE geometry in Alexandria gives the computed X-ray diffraction stick pattern in this record (CuKα).
Kinematic intensities with the Lorentz-polarization factor, no thermal factor.

Cell and atoms:
```
data_Zn4FeCu10Ge5S20
_chemical_formula_sum 'Zn8 Fe2 Cu20 Ge10 S40'
_cell_length_a 11.9436
_cell_length_b 5.3350
_cell_length_c 23.8656
_cell_angle_alpha 90.00
_cell_angle_beta 90.05
_cell_angle_gamma 90.00
_symmetry_space_group_name_H-M 'C 1 2 1'
_symmetry_Int_Tables_number 5
_symmetry_space_group_name_Hall 'C 2y'
loop_
_atom_site_label
_atom_site_type_symbol
_atom_site_fract_x
_atom_site_fract_y
_atom_site_fract_z
Zn1 Zn 0.1000 0.0000 0.1001
Zn2 Zn 0.2001 0.5000 0.6996
Fe1 Fe 0.0000 0.5012 0.5000
Cu1 Cu 0.9999 0.0005 0.2502
Cu2 Cu 0.0994 0.5008 0.3511
Cu3 Cu 0.1001 0.5001 0.8499
Cu4 Cu 0.2001 0.0003 0.9498
Cu5 Cu 0.1997 0.9975 0.4509
Ge1 Ge 0.0000 0.5000 0.0000
Ge2 Ge 0.0997 0.0002 0.5992
Ge3 Ge 0.1998 0.4998 0.2004
S1 S 0.0464 0.2427 0.6738
S2 S 0.0492 0.2574 0.1772
S3 S 0.0501 0.7508 0.4253
S4 S 0.0538 0.7425 0.9259
S5 S 0.1459 0.7423 0.2748
S6 S 0.1494 0.7573 0.7767
S7 S 0.1496 0.2512 0.5249
S8 S 0.1508 0.2575 0.0229
S9 S 0.2465 0.2422 0.8737
S10 S 0.2490 0.2561 0.3776
```

Peak list (6 most intense, 2θ from 10° to 90°, by intensity)
Position (°2θ), I_rel, (hkl)
28.97, 100, 3 1 2
48.22, 60, 6 0 4
57.24, 40, 5 1 10
33.58, 12, 2 0 8
78.02, 10, 9 1 6
70.56, 6, 8 0 -8

---

Entry 8:
For LaFeCuH6, the GGA-PBE geometry in Alexandria gives the computed X-ray diffraction stick pattern in this record (CuKα).
Kinematic intensities with the Lorentz-polarization factor, no thermal factor.

Cell and atoms:
```
data_LaFeCuH6
_chemical_formula_sum 'La1 Fe1 Cu1 H6'
_cell_length_a 4.5307
_cell_length_b 4.5307
_cell_length_c 4.3616
_cell_angle_alpha 90.00
_cell_angle_beta 90.00
_cell_angle_gamma 120.00
_symmetry_space_group_name_H-M 'P -6 m 2'
_symmetry_Int_Tables_number 187
_symmetry_space_group_name_Hall 'P -6 2'
loop_
_atom_site_label
_atom_site_type_symbol
_atom_site_fract_x
_atom_site_fract_y
_atom_site_fract_z
La1 La 0.0000 0.0000 0.0000
Fe1 Fe 0.6667 0.3333 0.5000
Cu1 Cu 0.3333 0.6667 0.5000
H1 H 0.5127 0.0254 0.2553
```

Peak list (6 most intense, 2θ from 10° to 90°, by intensity)
Position (°2θ), I_rel, (hkl)
30.65, 100, 1 0 1
39.79, 42, 1 1 0
58.77, 26, 1 1 2
51.05, 23, 2 0 1
66.61, 20, 2 1 1
22.66, 12, 1 0 0

---

Entry 9:
For Nb2FeCuH, the GGA-PBE geometry in Alexandria gives the computed X-ray diffraction stick pattern in this record (CuKα).
Kinematic intensities with the Lorentz-polarization factor, no thermal factor.

Cell and atoms:
```
data_Nb2FeCuH
_chemical_formula_sum 'Nb2 Fe1 Cu1 H1'
_cell_length_a 4.0965
_cell_length_b 4.0965
_cell_length_c 3.7112
_cell_angle_alpha 90.00
_cell_angle_beta 90.00
_cell_angle_gamma 90.00
_symmetry_space_group_name_H-M 'P 4/m m m'
_symmetry_Int_Tables_number 123
_symmetry_space_group_name_Hall '-P 4 2'
loop_
_atom_site_label
_atom_site_type_symbol
_atom_site_fract_x
_atom_site_fract_y
_atom_site_fract_z
Nb1 Nb 0.0000 0.5000 0.0000
Fe1 Fe 0.0000 0.0000 0.5000
Cu1 Cu 0.5000 0.5000 0.5000
H1 H 0.5000 0.5000 0.0000
```

Peak list (6 most intense, 2θ from 10° to 90°, by intensity)
Position (°2θ), I_rel, (hkl)
39.46, 100, 1 1 1
44.22, 36, 2 0 0
78.15, 25, 3 1 1
68.19, 19, 2 0 2
49.10, 13, 0 0 2
64.32, 11, 2 2 0

---

Entry 10:
For NdFeCuH6, the GGA-PBE geometry in Alexandria gives the computed X-ray diffraction stick pattern in this record (CuKα).
Kinematic intensities with the Lorentz-polarization factor, no thermal factor.

Cell and atoms:
```
data_NdFeCuH6
_chemical_formula_sum 'Nd1 Fe1 Cu1 H6'
_cell_length_a 4.4838
_cell_length_b 4.4838
_cell_length_c 4.2786
_cell_angle_alpha 90.00
_cell_angle_beta 90.00
_cell_angle_gamma 120.00
_symmetry_space_group_name_H-M 'P -6 m 2'
_symmetry_Int_Tables_number 187
_symmetry_space_group_name_Hall 'P -6 2'
loop_
_atom_site_label
_atom_site_type_symbol
_atom_site_fract_x
_atom_site_fract_y
_atom_site_fract_z
Nd1 Nd 0.0000 0.0000 0.0000
Fe1 Fe 0.6667 0.3333 0.5000
Cu1 Cu 0.3333 0.6667 0.5000
H1 H 0.5130 0.0260 0.2488
```

Peak list (6 most intense, 2θ from 10° to 90°, by intensity)
Position (°2θ), I_rel, (hkl)
31.10, 100, 1 0 1
40.23, 41, 1 1 0
59.75, 25, 1 1 2
51.70, 23, 2 0 1
67.46, 21, 2 1 1
22.90, 14, 1 0 0

---

Entry 11:
For SmFeCuH6, the GGA-PBE geometry in Alexandria gives the computed X-ray diffraction stick pattern in this record (CuKα).
Kinematic intensities with the Lorentz-polarization factor, no thermal factor.

Cell and atoms:
```
data_SmFeCuH6
_chemical_formula_sum 'Sm1 Fe1 Cu1 H6'
_cell_length_a 4.4536
_cell_length_b 4.4536
_cell_length_c 4.2283
_cell_angle_alpha 90.00
_cell_angle_beta 90.00
_cell_angle_gamma 120.00
_symmetry_space_group_name_H-M 'P -6 m 2'
_symmetry_Int_Tables_number 187
_symmetry_space_group_name_Hall 'P -6 2'
loop_
_atom_site_label
_atom_site_type_symbol
_atom_site_fract_x
_atom_site_fract_y
_atom_site_fract_z
Sm1 Sm 0.0000 0.0000 0.0000
Fe1 Fe 0.6667 0.3333 0.5000
Cu1 Cu 0.3333 0.6667 0.5000
H1 H 0.5131 0.0262 0.2444
```

Peak list (6 most intense, 2θ from 10° to 90°, by intensity)
Position (°2θ), I_rel, (hkl)
31.39, 100, 1 0 1
40.51, 41, 1 1 0
60.37, 25, 1 1 2
52.13, 24, 2 0 1
68.03, 21, 2 1 1
23.06, 16, 1 0 0

---

Entry 12:
For HfNbFeCuW, the GGA-PBE geometry in Alexandria gives the computed X-ray diffraction stick pattern in this record (CuKα).
Kinematic intensities with the Lorentz-polarization factor, no thermal factor.

Cell and atoms:
```
data_HfNbFeCuW
_chemical_formula_sum 'Hf2 Nb2 Fe2 Cu2 W2'
_cell_length_a 9.8441
_cell_length_b 3.1832
_cell_length_c 6.8879
_cell_angle_alpha 90.00
_cell_angle_beta 132.31
_cell_angle_gamma 90.00
_symmetry_space_group_name_H-M 'C 1 m 1'
_symmetry_Int_Tables_number 8
_symmetry_space_group_name_Hall 'C -2y'
loop_
_atom_site_label
_atom_site_type_symbol
_atom_site_fract_x
_atom_site_fract_y
_atom_site_fract_z
Hf1 Hf 0.0000 0.0000 0.0000
Nb1 Nb 0.1716 0.0000 0.7849
Fe1 Fe 0.3638 0.0000 0.5687
Cu1 Cu 0.3163 0.5000 0.2290
W1 W 0.1031 0.5000 0.4193
```

Peak list (6 most intense, 2θ from 10° to 90°, by intensity)
Position (°2θ), I_rel, (hkl)
40.83, 100, 3 1 -2
39.53, 71, 1 1 1
39.83, 33, 4 0 -1
72.59, 22, 4 2 -1
18.05, 19, 2 0 -1
30.95, 15, 1 1 -1

---

Entry 13:
For HfNbFeCuW, the GGA-PBE geometry in Alexandria gives the computed X-ray diffraction stick pattern in this record (CuKα).
Kinematic intensities with the Lorentz-polarization factor, no thermal factor.

Cell and atoms:
```
data_HfNbFeCuW
_chemical_formula_sum 'Hf2 Nb2 Fe2 Cu2 W2'
_cell_length_a 12.4698
_cell_length_b 4.4341
_cell_length_c 2.9315
_cell_angle_alpha 90.00
_cell_angle_beta 103.59
_cell_angle_gamma 90.00
_symmetry_space_group_name_H-M 'C 1 m 1'
_symmetry_Int_Tables_number 8
_symmetry_space_group_name_Hall 'C -2y'
loop_
_atom_site_label
_atom_site_type_symbol
_atom_site_fract_x
_atom_site_fract_y
_atom_site_fract_z
Hf1 Hf 0.0000 0.0000 0.0000
Nb1 Nb 0.2422 0.0000 0.8440
Fe1 Fe 0.4309 0.0000 0.5112
Cu1 Cu 0.3118 0.5000 0.3350
W1 W 0.1172 0.5000 0.4720
```

Peak list (6 most intense, 2θ from 10° to 90°, by intensity)
Position (°2θ), I_rel, (hkl)
39.75, 100, 1 1 1
42.50, 69, 5 1 0
40.70, 48, 0 2 0
37.92, 47, 4 0 -1
29.92, 39, 3 1 0
56.84, 29, 4 2 -1